No. 1
For ZnPtRh, a cell relaxed with GGA-PBE gives the computed X-ray diffraction stick pattern in this record (Cu Kα (weighted mean of Kα1 and Kα2)).
Kinematic intensities with the Lorentz-polarization factor, no thermal factor.

Main lines, sorted by position (5° ≤ 2θ ≤ 70°):
d (Å), two_theta, I (rel.)
7.395, 12.0, 582
3.553, 25.1, 301
2.455, 36.6, 1000
2.278, 39.6, 871
2.177, 41.5, 735
2.109, 42.9, 843
2.033, 44.6, 603
1.984, 45.7, 441
1.977, 45.9, 434
1.385, 67.6, 189

Crystal structure
Lattice parameters (Å, degrees): 2.770 4.603 7.461 97.18 90.21 107.37
Fractional coordinates of all 6 atoms:
Zn  0.115  0.229  0.233
Zn  0.885  0.771  0.767
Pt  0.373  0.749  0.097
Pt  0.627  0.251  0.903
Rh  0.148  0.295  0.583
Rh  0.852  0.705  0.417


No. 2
For Zn8Pt2Rh, a cell relaxed with GGA-PBE gives the computed X-ray diffraction stick pattern in this record (Cu Kα (weighted mean of Kα1 and Kα2)).
Kinematic intensities with the Lorentz-polarization factor, no thermal factor.

Main lines, sorted by position (5° ≤ 2θ ≤ 70°):
d (Å), two_theta, I (rel.)
5.587, 15.9, 121
3.604, 24.7, 261
3.283, 27.2, 153
2.951, 30.3, 155
2.208, 40.9, 420
2.176, 41.5, 1000
2.107, 42.9, 347
2.030, 44.6, 106
1.974, 46.0, 116
1.908, 47.7, 124

Crystal structure
Lattice parameters (Å, degrees): 6.909 6.909 6.909 144.48 119.60 72.07
Fractional coordinates of all 11 atoms:
Zn  0.145  0.145  0.000
Zn  0.152  0.356  0.796
Zn  0.307  0.000  0.307
Zn  0.439  0.644  0.796
Zn  0.561  0.356  0.204
Zn  0.693  0.000  0.693
Zn  0.848  0.644  0.204
Zn  0.855  0.855  0.000
Pt  0.292  0.792  0.500
Pt  0.708  0.208  0.500
Rh  0.000  0.500  0.500


No. 3
For ZrPt4Rh3, a cell relaxed with GGA-PBE gives the computed X-ray diffraction stick pattern in this record (Cu Kα (weighted mean of Kα1 and Kα2)).
Kinematic intensities with the Lorentz-polarization factor, no thermal factor.

Main lines, sorted by position (5° ≤ 2θ ≤ 70°):
d (Å), two_theta, I (rel.)
3.239, 27.5, 545
2.442, 36.8, 606
2.420, 37.1, 571
2.387, 37.7, 448
2.366, 38.0, 456
2.202, 41.0, 525
2.159, 41.8, 631
2.117, 42.7, 952
2.045, 44.3, 614
1.984, 45.7, 1000

Crystal structure
Lattice parameters (Å, degrees): 7.565 7.565 7.565 158.45 122.44 62.19
Fractional coordinates of all 8 atoms:
Zr  0.000  0.000  0.000
Pt  0.164  0.852  0.312
Pt  0.460  0.148  0.312
Pt  0.540  0.852  0.688
Pt  0.836  0.148  0.688
Rh  0.170  0.670  0.500
Rh  0.500  0.500  0.000
Rh  0.830  0.330  0.500


No. 4
For ZrPt2Rh3, a cell relaxed with GGA-PBE gives the computed X-ray diffraction stick pattern in this record (Cu Kα (weighted mean of Kα1 and Kα2)).
Kinematic intensities with the Lorentz-polarization factor, no thermal factor.

Main lines, sorted by position (5° ≤ 2θ ≤ 70°):
d (Å), two_theta, I (rel.)
5.653, 15.7, 54
3.912, 22.7, 51
2.304, 39.1, 330
2.293, 39.3, 1000
2.005, 45.2, 451
1.956, 46.4, 203
1.422, 65.7, 71
1.413, 66.1, 72
1.402, 66.7, 133
1.398, 66.9, 137

Crystal structure
Lattice parameters (Å, degrees): 4.844 5.653 6.892 90.00 91.57 90.00
Fractional coordinates of all 12 atoms:
Zr  0.192  0.000  0.327
Zr  0.808  0.000  0.673
Pt  0.177  0.500  0.340
Pt  0.500  0.000  0.000
Pt  0.500  0.500  0.000
Pt  0.823  0.500  0.660
Rh  0.000  0.256  0.000
Rh  0.000  0.744  0.000
Rh  0.317  0.253  0.668
Rh  0.317  0.747  0.668
Rh  0.683  0.253  0.332
Rh  0.683  0.747  0.332


No. 5
For Zr2Pt7Rh2, a cell relaxed with GGA-PBE gives the computed X-ray diffraction stick pattern in this record (Cu Kα (weighted mean of Kα1 and Kα2)).
Kinematic intensities with the Lorentz-polarization factor, no thermal factor.

Main lines, sorted by position (5° ≤ 2θ ≤ 70°):
d (Å), two_theta, I (rel.)
3.611, 24.7, 220
2.408, 37.3, 324
2.313, 38.9, 107
2.245, 40.2, 1000
2.214, 40.8, 138
2.182, 41.4, 121
2.159, 41.8, 344
2.149, 42.0, 117
1.970, 46.1, 123
1.416, 66.0, 115

Crystal structure
Lattice parameters (Å, degrees): 7.568 7.568 7.568 146.85 127.93 63.13
Fractional coordinates of all 11 atoms:
Zr  0.158  0.158  0.000
Zr  0.842  0.842  0.000
Pt  0.000  0.500  0.500
Pt  0.160  0.363  0.797
Pt  0.299  0.799  0.500
Pt  0.435  0.637  0.797
Pt  0.565  0.363  0.203
Pt  0.701  0.201  0.500
Pt  0.840  0.637  0.203
Rh  0.293  0.000  0.293
Rh  0.707  0.000  0.707


No. 6
For RuPt4, a cell relaxed with GGA-PBE gives the computed X-ray diffraction stick pattern in this record (Cu Kα (weighted mean of Kα1 and Kα2)).
Kinematic intensities with the Lorentz-polarization factor, no thermal factor.

Main lines, sorted by position (5° ≤ 2θ ≤ 70°):
d (Å), two_theta, I (rel.)
11.368, 7.8, 52
5.684, 15.6, 17
3.789, 23.5, 13
2.842, 31.5, 21
2.392, 37.6, 13
2.276, 39.6, 1000
2.164, 41.7, 19
1.971, 46.0, 488
1.543, 59.9, 16
1.394, 67.2, 315

Crystal structure
Lattice parameters (Å, degrees): 11.482 11.482 11.482 13.95 13.95 13.95
Fractional coordinates of all 5 atoms:
Ru  0.000  0.000  0.000
Pt  0.201  0.201  0.201
Pt  0.397  0.397  0.397
Pt  0.603  0.603  0.603
Pt  0.799  0.799  0.799


No. 7
For Ru5Pt7, a cell relaxed with GGA-PBE gives the computed X-ray diffraction stick pattern in this record (Cu Kα (weighted mean of Kα1 and Kα2)).
Kinematic intensities with the Lorentz-polarization factor, no thermal factor.

Main lines, sorted by position (5° ≤ 2θ ≤ 70°):
d (Å), two_theta, I (rel.)
7.839, 11.3, 29
3.644, 24.4, 21
2.915, 30.7, 18
2.602, 34.5, 27
2.256, 40.0, 1000
1.959, 46.3, 325
1.942, 46.8, 162
1.387, 67.5, 51
1.384, 67.7, 52
1.379, 68.0, 208

Crystal structure
Lattice parameters (Å, degrees): 6.188 6.188 8.755 115.02 115.02 36.58
Fractional coordinates of all 12 atoms:
Ru  0.000  0.000  0.000
Ru  0.074  0.074  0.753
Ru  0.240  0.240  0.233
Ru  0.653  0.653  0.000
Ru  0.896  0.896  0.234
Pt  0.154  0.154  0.491
Pt  0.320  0.320  0.995
Pt  0.412  0.412  0.753
Pt  0.485  0.485  0.488
Pt  0.571  0.571  0.238
Pt  0.737  0.737  0.749
Pt  0.824  0.824  0.493


No. 8
For Ru4Pt, a cell relaxed with GGA-PBE gives the computed X-ray diffraction stick pattern in this record (Cu Kα (weighted mean of Kα1 and Kα2)).
Kinematic intensities with the Lorentz-polarization factor, no thermal factor.

Main lines, sorted by position (5° ≤ 2θ ≤ 70°):
d (Å), two_theta, I (rel.)
4.308, 20.6, 42
3.246, 27.5, 57
3.046, 29.3, 38
2.221, 40.6, 1000
1.927, 47.2, 324
1.918, 47.4, 156
1.546, 59.8, 17
1.379, 68.0, 15
1.362, 68.9, 100
1.359, 69.1, 204

Crystal structure
Lattice parameters (Å, degrees): 4.716 4.716 4.716 99.52 99.52 132.00
Fractional coordinates of all 5 atoms:
Ru  0.094  0.304  0.398
Ru  0.304  0.906  0.210
Ru  0.696  0.094  0.790
Ru  0.906  0.696  0.602
Pt  0.500  0.500  0.000


No. 9
For Ru5Pt3, a cell relaxed with GGA-PBE gives the computed X-ray diffraction stick pattern in this record (Cu Kα (weighted mean of Kα1 and Kα2)).
Kinematic intensities with the Lorentz-polarization factor, no thermal factor.

Main lines, sorted by position (5° ≤ 2θ ≤ 70°):
d (Å), two_theta, I (rel.)
4.567, 19.4, 55
3.013, 29.6, 42
2.391, 37.6, 383
2.205, 40.9, 381
2.106, 42.9, 488
2.099, 43.1, 1000
1.624, 56.7, 76
1.619, 56.9, 141
1.382, 67.8, 85
1.379, 68.0, 168

Crystal structure
Lattice parameters (Å, degrees): 7.055 7.055 5.215 108.71 108.71 85.19
Fractional coordinates of all 16 atoms:
Ru  0.043  0.957  0.750
Ru  0.163  0.583  0.511
Ru  0.205  0.290  0.739
Ru  0.290  0.205  0.239
Ru  0.417  0.837  0.989
Ru  0.583  0.163  0.011
Ru  0.710  0.795  0.761
Ru  0.795  0.710  0.261
Ru  0.837  0.417  0.489
Ru  0.957  0.043  0.250
Pt  0.078  0.669  0.994
Pt  0.331  0.922  0.506
Pt  0.459  0.541  0.250
Pt  0.541  0.459  0.750
Pt  0.669  0.078  0.494
Pt  0.922  0.331  0.006


No. 10
For ScSnRuPt, a cell relaxed with GGA-PBE gives the computed X-ray diffraction stick pattern in this record (Cu Kα (weighted mean of Kα1 and Kα2)).
Kinematic intensities with the Lorentz-polarization factor, no thermal factor.

Main lines, sorted by position (5° ≤ 2θ ≤ 70°):
d (Å), two_theta, I (rel.)
3.724, 23.9, 208
3.635, 24.5, 62
3.066, 29.1, 80
2.344, 38.4, 1000
2.168, 41.7, 398
2.116, 42.7, 50
1.874, 48.6, 70
1.818, 50.2, 116
1.533, 60.4, 133
1.393, 67.2, 193

Crystal structure
Lattice parameters (Å, degrees): 4.756 4.756 4.756 125.75 125.75 80.30
Fractional coordinates of all 4 atoms:
Sc  0.000  0.000  0.000
Sn  0.500  0.500  0.000
Ru  0.250  0.750  0.500
Pt  0.750  0.250  0.500


No. 11
For SiRu2Pt, a cell relaxed with GGA-PBE gives the computed X-ray diffraction stick pattern in this record (Cu Kα (weighted mean of Kα1 and Kα2)).
Kinematic intensities with the Lorentz-polarization factor, no thermal factor.

Main lines, sorted by position (5° ≤ 2θ ≤ 70°):
d (Å), two_theta, I (rel.)
3.900, 22.8, 192
2.714, 33.0, 291
2.499, 35.9, 467
2.302, 39.1, 223
2.153, 42.0, 300
2.108, 42.9, 1000
1.687, 54.4, 144
1.572, 58.7, 136
1.545, 59.9, 149
1.420, 65.8, 91

Crystal structure
Lattice parameters (Å, degrees): 5.276 5.276 5.276 148.78 131.84 58.52
Fractional coordinates of all 4 atoms:
Si  0.000  0.000  0.000
Ru  0.211  0.711  0.500
Ru  0.789  0.289  0.500
Pt  0.500  0.500  0.000


No. 12
For SrRuPt2, a cell relaxed with GGA-PBE gives the computed X-ray diffraction stick pattern in this record (Cu Kα (weighted mean of Kα1 and Kα2)).
Kinematic intensities with the Lorentz-polarization factor, no thermal factor.

Main lines, sorted by position (5° ≤ 2θ ≤ 70°):
d (Å), two_theta, I (rel.)
5.595, 15.8, 570
3.593, 24.8, 322
2.798, 32.0, 240
2.492, 36.0, 247
2.402, 37.4, 1000
2.343, 38.4, 741
2.294, 39.3, 958
2.200, 41.0, 862
1.898, 47.9, 262
1.795, 50.9, 269

Crystal structure
Lattice parameters (Å, degrees): 2.883 4.687 5.608 90.00 93.82 90.00
Fractional coordinates of all 4 atoms:
Sr  0.000  0.000  0.000
Ru  0.079  0.500  0.612
Pt  0.520  0.500  0.214
Pt  0.541  0.000  0.516